# 1
Theoretical X-ray diffraction stick pattern of Na2CaVP2O9 for Cu Kα (weighted mean of Kα1 and Kα2), from the GGA+U geometry in the Materials Project.

Top 10 peaks for 10 to 90 degrees two-theta, in order of rising 2θ:
- hkl 1 0 2, 4.594 Å, 2θ 19.32, intensity 20.6
- hkl 0 2 0, 3.328 Å, 2θ 26.79, intensity 68.4
- hkl 1 0 3, 3.233 Å, 2θ 27.59, intensity 57.5
- hkl 3 1 1, 2.999 Å, 2θ 29.79, intensity 35.6
- hkl 3 0 2, 2.915 Å, 2θ 30.67, intensity 53.5
- hkl 2 2 0, 2.824 Å, 2θ 31.68, intensity 20.5
- hkl 1 2 2, 2.695 Å, 2θ 33.24, intensity 100.0
- hkl 3 1 2, 2.671 Å, 2θ 33.55, intensity 33.4
- hkl 2 1 3, 2.631 Å, 2θ 34.08, intensity 44.6
- hkl 0 4 0, 1.664 Å, 2θ 55.20, intensity 27.1

Atomic structure:
a = 10.6773 Å, b = 6.6554 Å, c = 10.1796 Å
α = 90.00°, β = 90.00°, γ = 90.00°
Space group Pnma (No. 62)
Unique sites:
Na 0.2140 0.0030 0.1338 x8
Ca 0.0605 0.2500 0.4124 x4
V 0.0333 0.2500 0.8085 x4
P 0.0901 0.7500 0.8642 x4
P 0.1778 0.7500 0.4168 x4
O 0.0129 0.5656 0.8091 x8
O 0.0909 0.7500 0.0163 x4
O 0.1112 0.2500 0.6672 x4
O 0.1234 0.5647 0.4869 x8
O 0.1433 0.7500 0.2690 x4
O 0.1770 0.2500 0.9346 x4
O 0.2249 0.7500 0.8079 x4

---

# 2
Theoretical X-ray diffraction stick pattern of NaCaSmWO6 for Cu Kα (weighted mean of Kα1 and Kα2), from the GGA+U geometry in the Materials Project.

Top 10 peaks for 10 to 90 degrees two-theta, in order of rising 2θ:
- hkl 2 0 0, 4.210 Å, 2θ 21.10, intensity 80.0
- hkl 2 2 0, 2.977 Å, 2θ 30.02, intensity 100.0
- hkl 2 2 2, 2.431 Å, 2θ 36.98, intensity 8.1
- hkl 4 0 0, 2.105 Å, 2θ 42.96, intensity 33.4
- hkl 4 2 0, 1.883 Å, 2θ 48.34, intensity 34.9
- hkl 4 2 2, 1.719 Å, 2θ 53.30, intensity 40.2
- hkl 4 4 0, 1.489 Å, 2θ 62.38, intensity 20.3
- hkl 6 0 0, 1.403 Å, 2θ 66.64, intensity 16.6
- hkl 6 2 0, 1.331 Å, 2θ 70.76, intensity 18.1
- hkl 6 4 2, 1.125 Å, 2θ 86.49, intensity 21.4

Atomic structure:
a = 8.4205 Å, b = 8.4205 Å, c = 8.4205 Å
α = 90.00°, β = 90.00°, γ = 90.00°
Space group F-43m (No. 216)
Unique sites:
Na 0.0000 0.0000 0.0000 x4
Ca 0.0000 0.0000 0.5000 x4
Sm 0.2500 0.2500 0.7500 x4
W 0.2500 0.2500 0.2500 x4
O 0.0192 0.2500 0.2500 x24

---

# 3
Theoretical X-ray diffraction stick pattern of NaCaVO4 for Cu Kα (weighted mean of Kα1 and Kα2), from the GGA+U geometry in the Materials Project.

Top 10 peaks for 10 to 90 degrees two-theta, in order of rising 2θ:
- hkl 1 1 1, 4.134 Å, 2θ 21.50, intensity 33.6
- hkl 0 2 1, 3.942 Å, 2θ 22.56, intensity 29.9
- hkl 2 0 0, 2.989 Å, 2θ 29.90, intensity 49.3
- hkl 1 1 2, 2.932 Å, 2θ 30.49, intensity 100.0
- hkl 1 3 0, 2.779 Å, 2θ 32.21, intensity 68.9
- hkl 2 2 2, 2.067 Å, 2θ 43.80, intensity 26.9
- hkl 0 4 2, 1.971 Å, 2θ 46.05, intensity 17.8
- hkl 0 0 4, 1.801 Å, 2θ 50.68, intensity 16.8
- hkl 2 4 2, 1.645 Å, 2θ 55.88, intensity 35.0
- hkl 1 3 4, 1.512 Å, 2θ 61.33, intensity 19.3

Atomic structure:
a = 5.9775 Å, b = 9.4186 Å, c = 7.2049 Å
α = 90.00°, β = 90.00°, γ = 90.00°
Space group Cmcm (No. 63)
Unique sites:
Na 0.0000 0.1786 0.2500 x4
Ca 0.0000 0.5000 0.0000 x4
V 0.0000 0.1480 0.7500 x4
O 0.0000 0.2548 0.5566 x8
O 0.2404 0.0373 0.7500 x8

---

# 4
Theoretical X-ray diffraction stick pattern of NaCaVO4 for Cu Kα (weighted mean of Kα1 and Kα2), from the GGA+U geometry in the Materials Project.

Top 10 peaks for 10 to 90 degrees two-theta, in order of rising 2θ:
- hkl 1 1 0, 5.141 Å, 2θ 17.25, intensity 32.6
- hkl 0 0 2, 3.556 Å, 2θ 25.05, intensity 37.4
- hkl 2 0 0, 3.056 Å, 2θ 29.22, intensity 61.8
- hkl 1 1 2, 2.924 Å, 2θ 30.57, intensity 100.0
- hkl 1 3 0, 2.812 Å, 2θ 31.83, intensity 78.6
- hkl 2 2 0, 2.570 Å, 2θ 34.91, intensity 30.4
- hkl 1 3 2, 2.205 Å, 2θ 40.92, intensity 24.7
- hkl 2 2 2, 2.083 Å, 2θ 43.44, intensity 22.8
- hkl 3 3 0, 1.714 Å, 2θ 53.47, intensity 21.3
- hkl 2 4 2, 1.659 Å, 2θ 55.39, intensity 38.7

Atomic structure:
a = 6.1130 Å, b = 9.4997 Å, c = 7.1110 Å
α = 90.00°, β = 90.00°, γ = 90.00°
Space group Cmcm (No. 63)
Unique sites:
Na 0.0000 0.0000 0.0000 x4
Ca 0.0000 0.3272 0.2500 x4
V 0.0000 0.3525 0.7500 x4
O 0.0000 0.2468 0.5509 x8
O 0.2232 0.4678 0.7500 x8

---

# 5
Theoretical X-ray diffraction stick pattern of Na2CaV12O32 for Cu Kα (weighted mean of Kα1 and Kα2), from the GGA+U geometry in the Materials Project.

Top 10 peaks for 10 to 90 degrees two-theta, in order of rising 2θ:
- hkl 2 0 -1, 7.767 Å, 2θ 11.39, intensity 100.0
- hkl 2 0 0, 7.056 Å, 2θ 12.54, intensity 12.7
- hkl 0 0 2, 6.599 Å, 2θ 13.42, intensity 28.2
- hkl 0 0 3, 4.399 Å, 2θ 20.19, intensity 29.5
- hkl 2 0 -4, 3.653 Å, 2θ 24.37, intensity 51.6
- hkl 2 2 0, 3.209 Å, 2θ 27.80, intensity 69.1
- hkl 2 2 -2, 3.138 Å, 2θ 28.45, intensity 15.4
- hkl 4 2 -3, 2.552 Å, 2θ 35.16, intensity 12.6
- hkl 4 0 3, 2.309 Å, 2θ 39.00, intensity 16.9
- hkl 0 4 0, 1.802 Å, 2θ 50.67, intensity 17.9

Atomic structure:
a = 15.6374 Å, b = 7.2064 Å, c = 14.6234 Å
α = 90.00°, β = 115.51°, γ = 90.00°
Space group Cm (No. 8)
Unique sites:
Na 0.0000 0.2482 0.0000 x4
Ca 0.4254 0.0000 0.6902 x2
V 0.0092 0.2500 0.2615 x4
V 0.1011 0.2491 0.5041 x4
V 0.1230 0.2496 0.8216 x4
V 0.3034 0.0000 0.8694 x2
V 0.3048 0.5000 0.8695 x2
V 0.3230 0.0000 0.1878 x2
V 0.3228 0.5000 0.1882 x2
V 0.4141 0.5000 0.4313 x2
V 0.4149 0.0000 0.4289 x2
O 0.0302 0.2754 0.7038 x4
O 0.0548 0.2518 0.1818 x4
O 0.0584 0.0000 0.5104 x2
O 0.0594 0.5000 0.5105 x2
O 0.0817 0.2501 0.9085 x4
O 0.1116 0.2497 0.3874 x4
O 0.1571 0.0000 0.8137 x2
O 0.1654 0.5000 0.8320 x2
O 0.2087 0.2438 0.5887 x4
O 0.2157 0.0000 0.1019 x2
O 0.2157 0.5000 0.1017 x2
O 0.2667 0.2462 0.8731 x4
O 0.3114 0.0000 0.3038 x2
O 0.3113 0.5000 0.3038 x2
O 0.3362 0.5000 0.7762 x2
O 0.3391 0.0000 0.7762 x2
O 0.3652 0.2498 0.1811 x4
O 0.3675 0.0000 0.5082 x2
O 0.3684 0.5000 0.5098 x2
O 0.4020 0.0000 0.9821 x2
O 0.4040 0.5000 0.9834 x2
O 0.4456 0.2489 0.4196 x4
O 0.4775 0.0000 0.2720 x2
O 0.4776 0.5000 0.2705 x2

---

# 6
Theoretical X-ray diffraction stick pattern of NaCaYWO6 for Cu Kα (weighted mean of Kα1 and Kα2), from the GGA+U geometry in the Materials Project.

Top 10 peaks for 10 to 90 degrees two-theta, in order of rising 2θ:
- hkl 1 1 1, 4.796 Å, 2θ 18.50, intensity 24.1
- hkl 2 0 0, 4.153 Å, 2θ 21.39, intensity 74.4
- hkl 2 2 0, 2.937 Å, 2θ 30.44, intensity 100.0
- hkl 4 0 0, 2.077 Å, 2θ 43.58, intensity 36.4
- hkl 4 2 0, 1.857 Å, 2θ 49.05, intensity 31.3
- hkl 4 2 2, 1.696 Å, 2θ 54.09, intensity 39.6
- hkl 4 4 0, 1.468 Å, 2θ 63.34, intensity 21.6
- hkl 6 0 0, 1.384 Å, 2θ 67.68, intensity 14.7
- hkl 6 2 0, 1.313 Å, 2θ 71.89, intensity 17.6
- hkl 6 4 2, 1.110 Å, 2θ 87.98, intensity 20.9

Atomic structure:
a = 8.3066 Å, b = 8.3066 Å, c = 8.3066 Å
α = 90.00°, β = 90.00°, γ = 90.00°
Space group F-43m (No. 216)
Unique sites:
Na 0.0000 0.0000 0.0000 x4
Ca 0.0000 0.0000 0.5000 x4
Y 0.2500 0.2500 0.7500 x4
W 0.2500 0.2500 0.2500 x4
O 0.0163 0.2500 0.2500 x24

---

# 7
Theoretical X-ray diffraction stick pattern of CaPrNbVO6 for Cu Kα (weighted mean of Kα1 and Kα2), from the GGA+U geometry in the Materials Project.

Top 10 peaks for 10 to 90 degrees two-theta, in order of rising 2θ:
- hkl 1 1 1, 4.638 Å, 2θ 19.14, intensity 30.3
- hkl 2 2 0, 2.840 Å, 2θ 31.50, intensity 100.0
- hkl 3 1 1, 2.422 Å, 2θ 37.12, intensity 17.5
- hkl 2 2 2, 2.319 Å, 2θ 38.84, intensity 7.9
- hkl 4 0 0, 2.008 Å, 2θ 45.15, intensity 36.6
- hkl 3 3 1, 1.843 Å, 2θ 49.46, intensity 7.9
- hkl 4 2 2, 1.640 Å, 2θ 56.09, intensity 38.4
- hkl 4 4 0, 1.420 Å, 2θ 65.76, intensity 21.2
- hkl 6 2 0, 1.270 Å, 2θ 74.74, intensity 16.2
- hkl 4 4 4, 1.159 Å, 2θ 83.35, intensity 6.9

Atomic structure:
a = 8.0328 Å, b = 8.0328 Å, c = 8.0328 Å
α = 90.00°, β = 90.00°, γ = 90.00°
Space group F-43m (No. 216)
Unique sites:
Ca 0.0000 0.0000 0.0000 x4
Pr 0.0000 0.0000 0.5000 x4
Nb 0.2500 0.2500 0.2500 x4
V 0.2500 0.2500 0.7500 x4
O 0.0021 0.2500 0.2500 x24

---

# 8
Theoretical X-ray diffraction stick pattern of SrCaNbWO6 for Cu Kα (weighted mean of Kα1 and Kα2), from the GGA+U geometry in the Materials Project.

Top 10 peaks for 10 to 90 degrees two-theta, in order of rising 2θ:
- hkl 1 1 1, 4.738 Å, 2θ 18.73, intensity 12.9
- hkl 2 0 0, 4.103 Å, 2θ 21.66, intensity 28.4
- hkl 2 2 0, 2.901 Å, 2θ 30.82, intensity 100.0
- hkl 3 1 1, 2.474 Å, 2θ 36.31, intensity 8.9
- hkl 4 0 0, 2.052 Å, 2θ 44.14, intensity 33.0
- hkl 4 2 0, 1.835 Å, 2θ 49.68, intensity 11.9
- hkl 4 2 2, 1.675 Å, 2θ 54.80, intensity 39.9
- hkl 4 4 0, 1.451 Å, 2θ 64.20, intensity 20.0
- hkl 6 2 0, 1.298 Å, 2θ 72.90, intensity 17.3
- hkl 6 4 2, 1.097 Å, 2θ 89.34, intensity 21.3

Atomic structure:
a = 8.2063 Å, b = 8.2063 Å, c = 8.2063 Å
α = 90.00°, β = 90.00°, γ = 90.00°
Space group F-43m (No. 216)
Unique sites:
Sr 0.0000 0.0000 0.0000 x4
Ca 0.0000 0.0000 0.5000 x4
Nb 0.2500 0.2500 0.7500 x4
W 0.2500 0.2500 0.2500 x4
O 0.0065 0.2500 0.7500 x24